# 1
This entry pairs a crystal structure of AlBiO3 with its simulated X-ray diffraction stick pattern. Radiation: a wavelength of 1.5418 Å. Structure: a structure optimized by DFT (PBE).

Top 6 peaks for 10 to 90 degrees two-theta, in order of rising 2θ:
d_spacing  intensity
4.077  81
3.647  34
2.917  38
2.718  100
2.278  29
2.096  28

Cell and atoms:
```
data_AlBiO3
_cell_length_a 3.6468
_cell_length_b 5.7012
_cell_length_c 5.8336
_cell_angle_alpha 90.00
_cell_angle_beta 90.00
_cell_angle_gamma 90.00
_space_group_name_H-M_alt 'P m c 21'
_space_group_IT_number 26
_space_group_name_Hall 'P 2c -2'
loop_
_atom_site_label
_atom_site_fract_x
_atom_site_fract_y
_atom_site_fract_z
Al1 0.0000 0.1963 0.0000
Bi1 0.5000 0.3174 0.4364
O1 0.0000 0.0492 0.3033
O2 0.0000 0.4619 0.8056
O3 0.5000 0.2586 0.0550
```

# 2
This entry pairs a crystal structure of RbAl2Bi2O7 with its simulated X-ray diffraction stick pattern. Radiation: a wavelength of 1.5418 Å. Structure: a structure optimized by DFT (PBE).

Top 6 peaks for 10 to 90 degrees two-theta, in order of rising 2θ:
d_spacing  intensity
8.498  27
4.651  51
3.931  88
3.568  100
2.884  76
2.021  56

Cell and atoms:
```
data_RbAl2Bi2O7
_cell_length_a 5.7676
_cell_length_b 5.7676
_cell_length_c 25.4947
_cell_angle_alpha 90.00
_cell_angle_beta 90.00
_cell_angle_gamma 120.00
_space_group_name_H-M_alt 'R 3 2'
_space_group_IT_number 155
_space_group_name_Hall 'R 3 2"'
loop_
_atom_site_label
_atom_site_fract_x
_atom_site_fract_y
_atom_site_fract_z
Rb1 0.0000 0.0000 0.0000
Al1 0.0000 0.0000 0.4313
Bi1 0.0000 0.0000 0.2185
O1 0.0000 0.0000 0.5000
O2 0.0146 0.4136 0.0751
```